[1]
Diffraction record for Y6Rh2N. The powder X-ray diffraction pattern is computed, not measured: it uses a crystal structure in Alexandria, relaxed with PBE and Cu Ka.
Intensities are scaled so that the largest is 100.

Crystal structure
```
Y6Rh2N
1.0
6.480 0.000 0.000
0.000 7.055 0.000
-6.299 0.000 9.421
Y Rh N
12 4 2
direct
0.128 0.039 0.243
0.128 0.461 0.743
0.234 0.694 0.060
0.234 0.806 0.560
0.365 0.174 0.057
0.365 0.326 0.557
0.635 0.674 0.443
0.635 0.826 0.943
0.766 0.194 0.440
0.766 0.306 0.940
0.872 0.539 0.257
0.872 0.961 0.757
0.289 0.094 0.753
0.289 0.406 0.253
0.711 0.594 0.747
0.711 0.906 0.247
0.000 0.000 0.000
0.000 0.500 0.500
```

Top 8 peaks for 2θ = 10–90°, in order of falling intensity:
2θ 31.69, rel. 100.0
2θ 34.46, rel. 53.6
2θ 33.91, rel. 45.7
2θ 30.34, rel. 37.9
2θ 32.01, rel. 34.4
2θ 31.91, rel. 28.8
2θ 38.38, rel. 28.7
2θ 31.42, rel. 25.9

---

[2]
Diffraction record for Ac7In2Au2. The powder X-ray diffraction pattern is computed, not measured: it uses a crystal structure in Alexandria, relaxed with PBE and Cu Ka.
Intensities are scaled so that the largest is 100.

Crystal structure
```
Ac7In2Au2
1.0
4.440 -6.147 0.000
4.440 6.147 0.000
0.000 0.000 7.837
Ac In Au
7 2 2
direct
0.000 0.000 0.000
0.000 0.500 0.267
0.000 0.500 0.733
0.500 0.000 0.267
0.500 0.000 0.733
0.500 0.500 0.252
0.500 0.500 0.748
0.164 0.164 0.500
0.836 0.836 0.500
0.289 0.711 0.000
0.711 0.289 0.000
```

Top 8 peaks for 2θ = 10–90°, in order of falling intensity:
2θ 33.82, rel. 100.0
2θ 29.05, rel. 62.1
2θ 33.20, rel. 54.2
2θ 24.74, rel. 53.9
2θ 25.89, rel. 39.0
2θ 23.02, rel. 36.3
2θ 30.43, rel. 23.8
2θ 40.64, rel. 21.0

---

[3]
Diffraction record for Cs4AgCl2. The powder X-ray diffraction pattern is computed, not measured: it uses a crystal structure in Alexandria, relaxed with PBE and Cu Ka.
Intensities are scaled so that the largest is 100.

Crystal structure
```
Cs4AgCl2
1.0
-5.749 5.749 5.808
5.749 -5.749 5.808
5.749 5.749 -5.808
Cs Ag Cl
8 2 4
direct
0.206 0.272 0.565
0.206 0.641 0.935
0.272 0.206 0.065
0.359 0.794 0.565
0.641 0.206 0.435
0.728 0.794 0.935
0.794 0.359 0.065
0.794 0.728 0.435
0.125 0.875 0.250
0.875 0.125 0.750
0.000 0.500 0.500
0.500 0.000 0.000
0.500 0.500 0.000
0.500 0.500 0.500
```

Top 8 peaks for 2θ = 10–90°, in order of falling intensity:
2θ 29.02, rel. 100.0
2θ 24.26, rel. 88.7
2θ 24.46, rel. 73.5
2θ 21.75, rel. 70.4
2θ 36.55, rel. 55.0
2θ 21.86, rel. 40.1
2θ 15.41, rel. 34.2
2θ 39.72, rel. 31.9

---

[4]
Diffraction record for Tb2Nd3Sc. The powder X-ray diffraction pattern is computed, not measured: it uses a crystal structure in Alexandria, relaxed with PBE and Cu Ka.
Intensities are scaled so that the largest is 100.

Crystal structure
```
Tb2Nd3Sc
1.0
6.186 0.000 0.000
2.073 7.707 0.000
0.022 3.338 8.107
Tb Nd Sc
4 6 2
direct
0.048 0.117 0.296
0.294 0.880 0.039
0.706 0.120 0.961
0.952 0.883 0.704
0.127 0.372 0.874
0.207 0.626 0.458
0.460 0.363 0.215
0.540 0.637 0.785
0.793 0.374 0.542
0.873 0.628 0.126
0.377 0.120 0.624
0.623 0.880 0.376
```

Top 8 peaks for 2θ = 10–90°, in order of falling intensity:
2θ 35.55, rel. 100.0
2θ 30.61, rel. 100.0
2θ 30.71, rel. 98.4
2θ 51.18, rel. 35.1
2θ 60.83, rel. 34.8
2θ 60.92, rel. 27.2
2θ 51.06, rel. 23.8
2θ 60.71, rel. 21.0

---

[5]
Diffraction record for Ti7Rh2N2. The powder X-ray diffraction pattern is computed, not measured: it uses a crystal structure in Alexandria, relaxed with PBE and Cu Ka.
Intensities are scaled so that the largest is 100.

Crystal structure
```
Ti7Rh2N2
1.0
3.299 -4.272 0.000
3.299 4.272 0.000
0.000 0.000 5.582
Ti Rh N
7 2 2
direct
0.000 0.000 0.000
0.000 0.500 0.236
0.000 0.500 0.764
0.500 0.000 0.236
0.500 0.000 0.764
0.500 0.500 0.231
0.500 0.500 0.769
0.189 0.189 0.500
0.811 0.811 0.500
0.273 0.727 0.000
0.727 0.273 0.000
```

Top 8 peaks for 2θ = 10–90°, in order of falling intensity:
2θ 47.68, rel. 100.0
2θ 42.31, rel. 52.9
2θ 26.27, rel. 48.2
2θ 38.53, rel. 47.5
2θ 36.50, rel. 47.3
2θ 31.50, rel. 38.6
2θ 38.04, rel. 38.5
2θ 45.58, rel. 27.4

---

[6]
Diffraction record for MnBe. The powder X-ray diffraction pattern is computed, not measured: it uses a crystal structure in Alexandria, relaxed with PBE and Cu Ka.
Intensities are scaled so that the largest is 100.

Crystal structure
```
MnBe
1.0
8.502 0.000 0.000
0.000 2.697 0.000
-1.497 0.000 4.869
Mn Be
6 6
direct
0.000 0.000 0.000
0.002 0.000 0.554
0.342 0.000 0.202
0.500 0.500 0.000
0.502 0.500 0.554
0.842 0.500 0.202
0.160 0.500 0.355
0.185 0.500 0.870
0.311 0.000 0.675
0.660 0.000 0.355
0.685 0.000 0.870
0.811 0.500 0.675
```

Top 8 peaks for 2θ = 10–90°, in order of falling intensity:
2θ 49.22, rel. 100.0
2θ 21.87, rel. 79.2
2θ 47.58, rel. 78.6
2θ 35.06, rel. 42.1
2θ 48.94, rel. 33.0
2θ 24.05, rel. 20.8
2θ 38.18, rel. 20.5
2θ 54.36, rel. 18.8

---

[7]
Diffraction record for Na3Sr8Ca4. The powder X-ray diffraction pattern is computed, not measured: it uses a crystal structure in Alexandria, relaxed with PBE and Cu Ka.
Intensities are scaled so that the largest is 100.

Crystal structure
```
Na3Sr8Ca4
1.0
7.629 -7.302 0.000
7.629 7.302 0.000
-3.972 0.000 6.791
Na Sr Ca
3 8 4
direct
0.000 0.000 0.000
0.000 0.500 0.000
0.500 0.000 0.000
0.154 0.846 0.500
0.233 0.233 0.489
0.237 0.237 0.988
0.245 0.755 0.000
0.755 0.245 0.000
0.763 0.763 0.012
0.767 0.767 0.511
0.846 0.154 0.500
0.000 0.500 0.500
0.500 0.000 0.500
0.500 0.500 0.000
0.500 0.500 0.500
```

Top 8 peaks for 2θ = 10–90°, in order of falling intensity:
2θ 26.24, rel. 100.0
2θ 26.54, rel. 95.7
2θ 27.08, rel. 87.9
2θ 18.14, rel. 59.6
2θ 24.38, rel. 55.3
2θ 27.78, rel. 42.9
2θ 36.12, rel. 38.4
2θ 36.35, rel. 36.8

---

[8]
Diffraction record for LiMg2In2Hg4. The powder X-ray diffraction pattern is computed, not measured: it uses a crystal structure in Alexandria, relaxed with PBE and Cu Ka.
Intensities are scaled so that the largest is 100.

Crystal structure
```
LiMg2In2Hg4
1.0
7.093 -2.056 0.000
7.093 2.056 0.000
-2.463 0.000 7.007
Li Mg In Hg
1 2 2 4
direct
0.000 0.000 0.000
0.118 0.118 0.641
0.882 0.882 0.359
0.334 0.334 0.000
0.666 0.666 0.000
0.214 0.214 0.329
0.464 0.464 0.683
0.536 0.536 0.317
0.786 0.786 0.671
```

Top 8 peaks for 2θ = 10–90°, in order of falling intensity:
2θ 34.55, rel. 100.0
2θ 34.86, rel. 91.2
2θ 38.55, rel. 43.6
2θ 22.62, rel. 34.7
2θ 38.06, rel. 33.0
2θ 44.04, rel. 26.2
2θ 66.96, rel. 23.9
2θ 59.93, rel. 22.7

---

[9]
Diffraction record for Na4Cd5In3. The powder X-ray diffraction pattern is computed, not measured: it uses a crystal structure in Alexandria, relaxed with PBE and Cu Ka.
Intensities are scaled so that the largest is 100.

Crystal structure
```
Na4Cd5In3
1.0
5.407 0.000 0.000
2.417 5.204 0.000
2.404 1.467 11.604
Na Cd In
4 5 3
direct
0.058 0.019 0.345
0.325 0.815 0.025
0.675 0.185 0.975
0.942 0.981 0.655
0.000 0.500 0.500
0.019 0.382 0.115
0.296 0.248 0.723
0.704 0.752 0.277
0.981 0.618 0.885
0.436 0.373 0.260
0.500 0.000 0.500
0.564 0.627 0.740
```

Top 8 peaks for 2θ = 10–90°, in order of falling intensity:
2θ 33.80, rel. 100.0
2θ 19.48, rel. 64.4
2θ 33.19, rel. 44.0
2θ 38.78, rel. 31.0
2θ 35.52, rel. 29.8
2θ 39.19, rel. 28.0
2θ 38.19, rel. 25.7
2θ 17.18, rel. 25.1

---

[10]
Diffraction record for HoIn2Pd3. The powder X-ray diffraction pattern is computed, not measured: it uses a crystal structure in Alexandria, relaxed with PBE and Cu Ka.
Intensities are scaled so that the largest is 100.

Crystal structure
```
HoIn2Pd3
1.0
4.761 0.000 0.000
-2.381 4.123 0.000
0.000 0.000 11.585
Ho In Pd
2 4 6
direct
0.333 0.667 0.170
0.667 0.333 0.830
0.000 0.000 0.000
0.000 0.000 0.500
0.333 0.667 0.667
0.667 0.333 0.333
0.000 0.000 0.259
0.000 0.000 0.741
0.333 0.667 0.424
0.333 0.667 0.914
0.667 0.333 0.086
0.667 0.333 0.576
```

Top 8 peaks for 2θ = 10–90°, in order of falling intensity:
2θ 37.79, rel. 100.0
2θ 37.96, rel. 97.7
2θ 68.35, rel. 33.6
2θ 54.64, rel. 33.4
2θ 68.24, rel. 17.1
2θ 68.70, rel. 15.8
2θ 80.73, rel. 10.7
2θ 81.17, rel. 9.9